(1)
This entry pairs a crystal structure of Er6Ga17Pd5 with its computed XRD peak list. Radiation: Cu Ka. Structure: DFT lattice parameters and positions (PBE).
Intensities are scaled so that the largest is 100.

Structure:
a b c (Å): 8.1429 8.1429 15.6325
angles (deg): 103.90 103.90 30.40
Atoms (fractional coordinates):
Er (0.0912, 0.0912, 0.4058)
Er (0.2462, 0.2462, 0.2507)
Er (0.3975, 0.3975, 0.0986)
Er (0.6025, 0.6025, 0.9014)
Er (0.7538, 0.7538, 0.7493)
Er (0.9088, 0.9088, 0.5942)
Ga (0.0000, 0.0000, 0.0000)
Ga (0.0376, 0.0376, 0.1788)
Ga (0.1094, 0.1094, 0.7655)
Ga (0.1783, 0.1783, 0.0396)
Ga (0.2416, 0.2416, 0.8943)
Ga (0.2692, 0.2692, 0.6035)
Ga (0.3250, 0.3250, 0.4568)
Ga (0.3995, 0.3995, 0.7371)
Ga (0.4530, 0.4530, 0.3255)
Ga (0.5470, 0.5470, 0.6745)
Ga (0.6005, 0.6005, 0.2629)
Ga (0.6750, 0.6750, 0.5432)
Ga (0.7308, 0.7308, 0.3965)
Ga (0.7584, 0.7584, 0.1057)
Ga (0.8217, 0.8217, 0.9604)
Ga (0.8906, 0.8906, 0.2345)
Ga (0.9624, 0.9624, 0.8212)
Pd (0.1062, 0.1062, 0.6033)
Pd (0.4114, 0.4114, 0.9083)
Pd (0.5000, 0.5000, 0.5000)
Pd (0.5886, 0.5886, 0.0917)
Pd (0.8938, 0.8938, 0.3967)

Top 12 peaks for 10° ≤ 2θ ≤ 80°, in order of rising 2θ:
d_spacing	2θ (°)	I_rel
2.968	30.1	21
2.562	35.0	39
2.537	35.4	19
2.528	35.5	100
2.520	35.6	81
2.425	37.1	25
2.402	37.4	16
2.371	38.0	18
2.363	38.1	18
2.135	42.3	58
2.064	43.9	37
1.484	62.6	20



(2)
This entry pairs a crystal structure of Pm8PrTm3 with its computed XRD peak list. Radiation: Cu Ka. Structure: DFT lattice parameters and positions (PBE).
Intensities are scaled so that the largest is 100.

Structure:
a b c (Å): 9.0067 3.6469 12.5988
angles (deg): 90.00 103.56 90.00
Atoms (fractional coordinates):
Pm (0.0000, 0.0000, 0.0000)
Pm (0.9997, 0.5000, 0.2558)
Pm (0.3296, 0.5000, 0.1393)
Pm (0.3310, 0.0000, 0.3933)
Pm (0.3324, 0.5000, 0.6434)
Pm (0.6631, 0.5000, 0.8640)
Pm (0.6655, 0.0000, 0.1121)
Pm (0.6729, 0.0000, 0.6189)
Pr (0.6701, 0.5000, 0.3672)
Tm (0.0031, 0.0000, 0.5090)
Tm (0.0066, 0.5000, 0.7535)
Tm (0.3284, 0.0000, 0.8907)

Top 12 peaks for 10° ≤ 2θ ≤ 80°, in order of rising 2θ:
d_spacing	2θ (°)	I_rel
3.131	28.5	37
3.067	29.1	12
2.918	30.6	49
2.843	31.5	100
2.704	33.1	84
1.823	50.0	13
1.820	50.1	25
1.701	53.9	23
1.613	57.1	12
1.546	59.8	29
1.543	59.9	14
1.510	61.4	14



(3)
This entry pairs a crystal structure of VP2Se6 with its computed XRD peak list. Radiation: Cu Ka. Structure: DFT lattice parameters and positions (PBE).
Intensities are scaled so that the largest is 100.

Structure:
a b c (Å): 8.2483 8.2483 8.2483
angles (deg): 45.92 45.92 45.92
Atoms (fractional coordinates):
V (0.0000, 0.0000, 0.0000)
P (0.6172, 0.6172, 0.6172)
P (0.7162, 0.7162, 0.7162)
Se (0.0420, 0.8087, 0.3809)
Se (0.2268, 0.6539, 0.8878)
Se (0.3809, 0.0420, 0.8087)
Se (0.6539, 0.8878, 0.2268)
Se (0.8087, 0.3809, 0.0420)
Se (0.8878, 0.2268, 0.6539)

Top 12 peaks for 10° ≤ 2θ ≤ 80°, in order of rising 2θ:
d_spacing	2θ (°)	I_rel
7.364	12.0	25
5.404	16.4	30
4.976	17.8	14
3.682	24.2	42
2.949	30.3	100
2.423	37.1	27
2.069	43.7	9
1.968	46.1	10
1.952	46.5	27
1.858	49.0	17
1.659	55.4	10
1.598	57.7	7



(4)
This entry pairs a crystal structure of LaEr2Sn2Hg2 with its computed XRD peak list. Radiation: Cu Ka. Structure: DFT lattice parameters and positions (PBE).
Intensities are scaled so that the largest is 100.

Structure:
a b c (Å): 9.3779 9.3779 9.3779
angles (deg): 31.06 31.06 31.06
Atoms (fractional coordinates):
La (0.0000, 0.0000, 0.0000)
Er (0.1324, 0.1324, 0.1324)
Er (0.8676, 0.8676, 0.8676)
Sn (0.2652, 0.2652, 0.2652)
Sn (0.7348, 0.7348, 0.7348)
Hg (0.4356, 0.4356, 0.4356)
Hg (0.5644, 0.5644, 0.5644)

Top 12 peaks for 10° ≤ 2θ ≤ 80°, in order of rising 2θ:
d_spacing	2θ (°)	I_rel
4.459	19.9	8
2.871	31.2	100
2.511	35.8	92
2.279	39.5	9
2.188	41.3	8
1.918	47.4	12
1.890	48.1	30
1.750	52.3	9
1.561	59.2	11
1.510	61.4	30
1.450	64.3	17
1.255	75.8	11



(5)
This entry pairs a crystal structure of Na5B6C4 with its computed XRD peak list. Radiation: Cu Ka. Structure: DFT lattice parameters and positions (PBE).
Intensities are scaled so that the largest is 100.

Structure:
a b c (Å): 11.4198 11.4198 9.8227
angles (deg): 107.84 107.84 14.26
Atoms (fractional coordinates):
Na (0.0000, 0.0000, 0.0000)
Na (0.0997, 0.0997, 0.7029)
Na (0.2006, 0.2006, 0.4003)
Na (0.2998, 0.2998, 0.0997)
Na (0.3993, 0.3993, 0.7987)
Na (0.5000, 0.5000, 0.5000)
Na (0.6007, 0.6007, 0.2013)
Na (0.7002, 0.7002, 0.9003)
Na (0.7994, 0.7994, 0.5997)
Na (0.9003, 0.9003, 0.2971)
B (0.0227, 0.0227, 0.2942)
B (0.1869, 0.1869, 0.1229)
B (0.2161, 0.2161, 0.6823)
B (0.3807, 0.3807, 0.5128)
B (0.4103, 0.4103, 0.0713)
B (0.4824, 0.4824, 0.2139)
B (0.5176, 0.5176, 0.7861)
B (0.5897, 0.5897, 0.9287)
B (0.6193, 0.6193, 0.4872)
B (0.7839, 0.7839, 0.3177)
B (0.8131, 0.8131, 0.8771)
B (0.9773, 0.9773, 0.7058)
C (0.0874, 0.0874, 0.4220)
C (0.1216, 0.1216, 0.9912)
C (0.2813, 0.2813, 0.8134)
C (0.3158, 0.3158, 0.3819)
C (0.6842, 0.6842, 0.6181)
C (0.7187, 0.7187, 0.1866)
C (0.8784, 0.8784, 0.0088)
C (0.9126, 0.9126, 0.5780)

Top 12 peaks for 10° ≤ 2θ ≤ 80°, in order of rising 2θ:
d_spacing	2θ (°)	I_rel
2.499	35.9	19
2.465	36.4	35
2.156	41.9	51
2.150	42.0	50
2.132	42.4	100
2.129	42.5	100
2.118	42.7	77
1.607	57.4	20
1.436	64.9	34
1.417	65.9	17
1.226	77.9	13
1.224	78.0	12



(6)
This entry pairs a crystal structure of Nb3Fe4Ni with its computed XRD peak list. Radiation: Cu Ka. Structure: DFT lattice parameters and positions (PBE).
Intensities are scaled so that the largest is 100.

Structure:
a b c (Å): 4.8309 4.8384 4.9256
angles (deg): 90.00 90.09 102.14
Atoms (fractional coordinates):
Nb (0.0000, 0.0000, 0.0000)
Nb (0.2096, 0.7841, 0.5003)
Nb (0.6051, 0.3923, 0.7501)
Fe (0.0965, 0.2772, 0.4940)
Fe (0.1140, 0.5071, 0.0062)
Fe (0.4912, 0.8841, 0.0063)
Fe (0.7186, 0.9010, 0.4941)
Ni (0.6055, 0.3932, 0.2501)

Top 12 peaks for 10° ≤ 2θ ≤ 80°, in order of rising 2θ:
d_spacing	2θ (°)	I_rel
3.038	29.4	18
2.463	36.5	22
2.363	38.1	63
2.318	38.9	52
2.184	41.3	100
2.131	42.4	68
2.097	43.1	38
2.060	43.9	33
1.818	50.2	50
1.757	52.1	21
1.349	69.7	12
1.341	70.2	20



(7)
This entry pairs a crystal structure of Cu2TePb with its computed XRD peak list. Radiation: Cu Ka. Structure: DFT lattice parameters and positions (PBE).
Intensities are scaled so that the largest is 100.

Structure:
a b c (Å): 4.6797 4.3468 4.7400
angles (deg): 90.00 110.16 90.00
Atoms (fractional coordinates):
Cu (0.0000, 0.0000, 0.0000)
Cu (0.1209, 0.5000, 0.8193)
Te (0.7967, 0.5000, 0.1959)
Pb (0.3769, 0.0000, 0.6159)

Top 12 peaks for 10° ≤ 2θ ≤ 80°, in order of rising 2θ:
d_spacing	2θ (°)	I_rel
3.862	23.0	53
3.109	28.7	80
3.090	28.9	96
2.887	31.0	90
2.696	33.2	100
2.311	39.0	21
2.173	41.6	55
2.057	44.0	60
2.040	44.4	55
1.980	45.8	33
1.960	46.3	27
1.692	54.2	49



(8)
This entry pairs a crystal structure of SrCdAg2F6 with its computed XRD peak list. Radiation: Cu Ka. Structure: DFT lattice parameters and positions (PBE).
Intensities are scaled so that the largest is 100.

Structure:
a b c (Å): 6.0633 6.2606 10.6196
angles (deg): 90.00 123.95 90.00
Atoms (fractional coordinates):
Sr (0.0000, 0.0000, 0.0000)
Sr (0.0000, 0.5000, 0.5000)
Cd (0.5000, 0.0000, 0.5000)
Cd (0.5000, 0.5000, 0.0000)
Ag (0.2687, 0.0602, 0.7511)
Ag (0.2687, 0.4398, 0.2511)
Ag (0.7313, 0.5602, 0.7489)
Ag (0.7313, 0.9398, 0.2489)
F (0.1281, 0.0803, 0.2600)
F (0.1281, 0.4197, 0.7600)
F (0.2669, 0.6810, 0.0709)
F (0.2669, 0.8190, 0.5709)
F (0.4005, 0.1990, 0.0756)
F (0.4005, 0.3010, 0.5756)
F (0.5995, 0.6990, 0.4244)
F (0.5995, 0.8010, 0.9244)
F (0.7331, 0.1810, 0.4291)
F (0.7331, 0.3190, 0.9291)
F (0.8719, 0.5803, 0.2400)
F (0.8719, 0.9197, 0.7400)

Top 12 peaks for 10° ≤ 2θ ≤ 80°, in order of rising 2θ:
d_spacing	2θ (°)	I_rel
3.130	28.5	38
3.114	28.7	100
3.080	29.0	98
3.031	29.5	43
2.202	41.0	26
2.178	41.5	40
1.802	50.6	35
1.796	50.8	27
1.771	51.6	35
1.753	52.2	25
1.557	59.4	10
1.540	60.1	14



(9)
This entry pairs a crystal structure of KNi4H7 with its computed XRD peak list. Radiation: Cu Ka. Structure: DFT lattice parameters and positions (PBE).
Intensities are scaled so that the largest is 100.

Structure:
a b c (Å): 7.4792 7.4792 7.4792
angles (deg): 151.38 151.38 40.91
Atoms (fractional coordinates):
K (0.0000, 0.0000, 0.0000)
Ni (0.2500, 0.7500, 0.5000)
Ni (0.3774, 0.3774, 0.0000)
Ni (0.6226, 0.6226, 0.0000)
Ni (0.7500, 0.2500, 0.5000)
H (0.1319, 0.6319, 0.5000)
H (0.2580, 0.2580, 0.0000)
H (0.3681, 0.8681, 0.5000)
H (0.5000, 0.5000, 0.0000)
H (0.6319, 0.1319, 0.5000)
H (0.7420, 0.7420, 0.0000)
H (0.8681, 0.3681, 0.5000)

Top 12 peaks for 10° ≤ 2θ ≤ 80°, in order of rising 2θ:
d_spacing	2θ (°)	I_rel
7.007	12.6	85
3.575	24.9	27
2.899	30.8	88
2.449	36.7	100
2.234	40.4	47
2.095	43.2	93
1.848	49.3	64
1.752	52.2	26
1.742	52.5	27
1.559	59.3	24
1.424	65.6	20
1.272	74.6	33



(10)
This entry pairs a crystal structure of SrLiNp4N8 with its computed XRD peak list. Radiation: Cu Ka. Structure: DFT lattice parameters and positions (PBE).
Intensities are scaled so that the largest is 100.

Structure:
a b c (Å): 6.5974 6.5974 6.5974
angles (deg): 63.16 63.16 63.16
Atoms (fractional coordinates):
Sr (0.0000, 0.0000, 0.0000)
Li (0.6194, 0.6194, 0.6194)
Np (0.1085, 0.6154, 0.6154)
Np (0.2289, 0.2289, 0.2289)
Np (0.6154, 0.1085, 0.6154)
Np (0.6154, 0.6154, 0.1085)
N (0.3589, 0.3589, 0.8262)
N (0.3589, 0.8262, 0.3589)
N (0.3732, 0.3732, 0.3732)
N (0.4407, 0.8504, 0.8505)
N (0.8262, 0.3589, 0.3589)
N (0.8442, 0.8442, 0.8442)
N (0.8504, 0.4407, 0.8504)
N (0.8504, 0.8504, 0.4407)

Top 12 peaks for 10° ≤ 2θ ≤ 80°, in order of rising 2θ:
d_spacing	2θ (°)	I_rel
5.255	16.9	49
4.766	18.6	24
3.291	27.1	46
2.940	30.4	100
2.887	31.0	41
2.794	32.0	70
1.962	46.3	21
1.838	49.6	19
1.799	50.7	22
1.727	53.0	31
1.646	55.9	24
1.230	77.6	16



(11)
This entry pairs a crystal structure of Ho7SbSe5 with its computed XRD peak list. Radiation: Cu Ka. Structure: DFT lattice parameters and positions (PBE).
Intensities are scaled so that the largest is 100.

Structure:
a b c (Å): 6.9472 6.9472 24.1392
angles (deg): 90.03 90.03 33.85
Atoms (fractional coordinates):
Ho (0.0181, 0.0181, 0.2501)
Ho (0.1393, 0.1393, 0.5367)
Ho (0.1391, 0.1391, 0.9633)
Ho (0.3134, 0.3134, 0.3219)
Ho (0.3136, 0.3136, 0.1781)
Ho (0.4040, 0.4040, 0.6189)
Ho (0.4039, 0.4039, 0.8811)
Ho (0.5961, 0.5961, 0.1189)
Ho (0.5960, 0.5960, 0.3811)
Ho (0.6864, 0.6864, 0.8219)
Ho (0.6866, 0.6866, 0.6781)
Ho (0.8609, 0.8609, 0.0367)
Ho (0.8607, 0.8607, 0.4633)
Ho (0.9819, 0.9819, 0.7499)
Sb (0.3101, 0.3101, 0.7501)
Sb (0.6899, 0.6899, 0.2499)
Se (0.0494, 0.0494, 0.8589)
Se (0.0495, 0.0495, 0.6411)
Se (0.2234, 0.2234, 0.0716)
Se (0.2234, 0.2234, 0.4284)
Se (0.5000, 0.5000, 0.0000)
Se (0.5000, 0.5000, 0.5000)
Se (0.7766, 0.7766, 0.5716)
Se (0.7766, 0.7766, 0.9284)
Se (0.9505, 0.9505, 0.3589)
Se (0.9506, 0.9506, 0.1411)

Top 12 peaks for 10° ≤ 2θ ≤ 80°, in order of rising 2θ:
d_spacing	2θ (°)	I_rel
3.258	27.4	18
3.061	29.2	70
2.965	30.1	25
2.900	30.8	100
2.801	32.0	50
2.748	32.6	30
2.204	40.9	36
2.048	44.2	18
2.021	44.8	48
2.016	45.0	25
1.687	54.4	25
1.628	56.5	20



(12)
This entry pairs a crystal structure of CaTi4S8 with its computed XRD peak list. Radiation: Cu Ka. Structure: DFT lattice parameters and positions (PBE).
Intensities are scaled so that the largest is 100.

Structure:
a b c (Å): 6.8510 6.8510 9.0644
angles (deg): 123.99 123.99 60.03
Atoms (fractional coordinates):
Ca (0.0000, 0.0000, 0.0000)
Ti (0.2562, 0.2562, 0.5071)
Ti (0.2577, 0.7423, 0.5000)
Ti (0.7423, 0.2577, 0.5000)
Ti (0.7438, 0.7438, 0.4929)
S (0.0171, 0.0171, 0.7033)
S (0.0196, 0.5206, 0.7103)
S (0.4787, 0.4787, 0.2892)
S (0.4794, 0.9804, 0.2897)
S (0.5206, 0.0196, 0.7103)
S (0.5213, 0.5213, 0.7108)
S (0.9804, 0.4794, 0.2897)
S (0.9829, 0.9829, 0.2967)

Top 12 peaks for 10° ≤ 2θ ≤ 80°, in order of rising 2θ:
d_spacing	2θ (°)	I_rel
6.922	12.8	100
5.452	16.3	8
2.968	30.1	8
2.737	32.7	27
2.721	32.9	46
2.265	39.8	23
2.259	39.9	11
2.246	40.1	45
1.827	49.9	17
1.811	50.4	8
1.713	53.5	31
1.367	68.7	8